# 1
The following is a calculated PXRD pattern of Nd4Si5. It was derived from the GGA-PBE geometry in Alexandria, using Cu Kα (weighted mean of Kα1 and Kα2).
No peak broadening, texture or thermal motion is included.

Structural model:
Cell lengths 3.9589, 12.6719, 12.6719 Å; angles 19.58, 90.00, 90.00 degrees
Element x y z (fractional)
Nd 0.0000 0.0000 0.0000
Nd 0.0000 0.2716 0.2716
Nd 0.5000 0.1313 0.1313
Nd 0.5000 0.4030 0.4030
Si 0.0000 0.5885 0.5885
Si 0.0000 0.6827 0.6827
Si 0.0000 0.8718 0.8718
Si 0.5000 0.5307 0.5307
Si 0.5000 0.8128 0.8128

Most intense lines, 2θ from 10° to 90°, in order of rising 2θ:
2θ (°)	I (rel.)
20.9	20
26.7	42
28.6	17
32.6	100
35.7	12
41.9	15
45.8	11
50.4	15
51.0	17
57.4	15

# 2
The following is a calculated PXRD pattern of Nd3Si. It was derived from the GGA-PBE geometry in Alexandria, using Cu Kα (weighted mean of Kα1 and Kα2).
No peak broadening, texture or thermal motion is included.

Structural model:
Cell lengths 12.3861, 12.3861, 6.1315 Å; angles 90.00, 90.00, 90.00 degrees
Element x y z (fractional)
Nd 0.0287 0.5736 0.2415
Nd 0.0736 0.9713 0.7415
Nd 0.1142 0.2170 0.0160
Nd 0.1346 0.6680 0.7309
Nd 0.1680 0.8654 0.2309
Nd 0.2170 0.3858 0.4840
Nd 0.2830 0.1142 0.4840
Nd 0.3320 0.6346 0.2309
Nd 0.3654 0.8320 0.7309
Nd 0.3858 0.2830 0.0160
Nd 0.4264 0.5287 0.7415
Nd 0.4713 0.9264 0.2415
Nd 0.5287 0.0736 0.7585
Nd 0.5736 0.4713 0.2585
Nd 0.6142 0.7170 0.9840
Nd 0.6346 0.1680 0.2691
Nd 0.6680 0.3654 0.7691
Nd 0.7170 0.8858 0.5160
Nd 0.7830 0.6142 0.5160
Nd 0.8320 0.1346 0.7691
Nd 0.8654 0.3320 0.2691
Nd 0.8858 0.7830 0.9840
Nd 0.9264 0.0287 0.2585
Nd 0.9713 0.4264 0.7585
Si 0.0471 0.2058 0.5264
Si 0.2058 0.4529 0.9736
Si 0.2942 0.0471 0.9736
Si 0.4529 0.2942 0.5264
Si 0.5471 0.7058 0.4736
Si 0.7058 0.9529 0.0264
Si 0.7942 0.5471 0.0264
Si 0.9529 0.7942 0.4736

Most intense lines, 2θ from 10° to 90°, in order of rising 2θ:
2θ (°)	I (rel.)
27.0	39
29.8	100
30.6	25
30.9	58
32.3	59
32.6	18
33.2	71
37.2	30
52.4	26
60.9	18

# 3
The following is a calculated PXRD pattern of Nd5Si4. It was derived from the GGA-PBE geometry in Alexandria, using Cu Kα (weighted mean of Kα1 and Kα2).
No peak broadening, texture or thermal motion is included.

Structural model:
Cell lengths 7.8928, 7.8928, 15.1294 Å; angles 90.00, 90.00, 90.00 degrees
Element x y z (fractional)
Nd 0.0111 0.3778 0.0517
Nd 0.0190 0.8729 0.1243
Nd 0.1222 0.5111 0.3017
Nd 0.1271 0.9810 0.3757
Nd 0.1911 0.8089 0.7500
Nd 0.3089 0.3089 0.5000
Nd 0.3729 0.4810 0.8743
Nd 0.3778 0.0111 0.9483
Nd 0.4810 0.3729 0.1257
Nd 0.4889 0.8778 0.1983
Nd 0.5111 0.1222 0.6983
Nd 0.5190 0.6271 0.6257
Nd 0.6222 0.9889 0.4483
Nd 0.6271 0.5190 0.3743
Nd 0.6911 0.6911 0.0000
Nd 0.8089 0.1911 0.2500
Nd 0.8729 0.0190 0.8757
Nd 0.8778 0.4889 0.8017
Nd 0.9810 0.1271 0.6243
Nd 0.9889 0.6222 0.5517
Si 0.0771 0.7118 0.9402
Si 0.1692 0.1952 0.7988
Si 0.1952 0.1692 0.2012
Si 0.2118 0.4229 0.6902
Si 0.2882 0.9229 0.5598
Si 0.3048 0.6692 0.0488
Si 0.3308 0.6952 0.4512
Si 0.4229 0.2118 0.3098
Si 0.5771 0.7882 0.8098
Si 0.6692 0.3048 0.9512
Si 0.6952 0.3308 0.5488
Si 0.7118 0.0771 0.0598
Si 0.7882 0.5771 0.1902
Si 0.8048 0.8308 0.7012
Si 0.8308 0.8048 0.2988
Si 0.9229 0.2882 0.4402

Most intense lines, 2θ from 10° to 90°, in order of rising 2θ:
2θ (°)	I (rel.)
25.5	29
26.1	33
28.5	32
28.7	34
30.9	73
32.6	100
33.7	46
36.1	45
47.6	32
51.5	40

# 4
The following is a calculated PXRD pattern of Nd5Si3. It was derived from the GGA-PBE geometry in Alexandria, using Cu Kα (weighted mean of Kα1 and Kα2).
No peak broadening, texture or thermal motion is included.

Structural model:
Cell lengths 7.7914, 7.7914, 14.0535 Å; angles 90.00, 90.00, 90.00 degrees
Element x y z (fractional)
Nd 0.0662 0.5797 0.1056
Nd 0.0662 0.9203 0.6056
Nd 0.0797 0.5662 0.3944
Nd 0.0797 0.9338 0.8944
Nd 0.2500 0.2500 0.2306
Nd 0.2500 0.2500 0.7306
Nd 0.4203 0.5662 0.8944
Nd 0.4203 0.9338 0.3944
Nd 0.4338 0.5797 0.6056
Nd 0.4338 0.9203 0.1056
Nd 0.5662 0.0797 0.8944
Nd 0.5662 0.4203 0.3944
Nd 0.5797 0.0662 0.6056
Nd 0.5797 0.4338 0.1056
Nd 0.7500 0.7500 0.2694
Nd 0.7500 0.7500 0.7694
Nd 0.9203 0.0662 0.1056
Nd 0.9203 0.4338 0.6056
Nd 0.9338 0.0797 0.3944
Nd 0.9338 0.4203 0.8944
Si 0.1343 0.6343 0.7500
Si 0.1343 0.8657 0.2500
Si 0.2500 0.2500 0.0034
Si 0.2500 0.2500 0.5034
Si 0.3657 0.6343 0.2500
Si 0.3657 0.8657 0.7500
Si 0.6343 0.1343 0.2500
Si 0.6343 0.3657 0.7500
Si 0.7500 0.7500 0.4966
Si 0.7500 0.7500 0.9966
Si 0.8657 0.1343 0.7500
Si 0.8657 0.3657 0.2500

Most intense lines, 2θ from 10° to 90°, in order of rising 2θ:
2θ (°)	I (rel.)
26.2	20
26.4	44
32.0	100
32.5	21
34.4	54
36.5	41
48.6	18
52.2	29
52.6	26
56.5	22

# 5
The following is a calculated PXRD pattern of Nd5Si3. It was derived from the GGA-PBE geometry in Alexandria, using Cu Kα (weighted mean of Kα1 and Kα2).
No peak broadening, texture or thermal motion is included.

Structural model:
Cell lengths 8.8743, 8.8743, 8.8743 Å; angles 127.73, 127.73, 77.06 degrees
Element x y z (fractional)
Nd 0.0000 0.0000 0.0000
Nd 0.0321 0.5321 0.8558
Nd 0.1763 0.0321 0.5000
Nd 0.3237 0.8237 0.8558
Nd 0.4679 0.3237 0.5000
Nd 0.5000 0.5000 0.0000
Nd 0.5321 0.6763 0.5000
Nd 0.6763 0.1763 0.1442
Nd 0.8237 0.9679 0.5000
Nd 0.9679 0.4679 0.1442
Si 0.1153 0.3847 0.5000
Si 0.2500 0.2500 0.0000
Si 0.3847 0.8847 0.2695
Si 0.6153 0.1153 0.7305
Si 0.7500 0.7500 0.0000
Si 0.8847 0.6153 0.5000

Most intense lines, 2θ from 10° to 90°, in order of rising 2θ:
2θ (°)	I (rel.)
26.2	22
26.3	43
32.1	100
32.4	22
34.6	57
36.3	41
48.5	19
52.1	31
53.1	19
56.5	23

# 6
The following is a calculated PXRD pattern of Nd4Si7. It was derived from the GGA-PBE geometry in Alexandria, using Cu Kα (weighted mean of Kα1 and Kα2).
No peak broadening, texture or thermal motion is included.

Structural model:
Cell lengths 4.1015, 4.2279, 13.8421 Å; angles 90.00, 90.00, 90.00 degrees
Element x y z (fractional)
Nd 0.0000 0.0000 0.0000
Nd 0.0000 0.5000 0.2512
Nd 0.5000 0.0000 0.7518
Nd 0.5000 0.5000 0.4999
Si 0.0000 0.0000 0.4136
Si 0.0000 0.0000 0.5854
Si 0.0000 0.5000 0.6663
Si 0.0000 0.5000 0.8364
Si 0.5000 0.0000 0.3201
Si 0.5000 0.5000 0.0901
Si 0.5000 0.5000 0.9232

Most intense lines, 2θ from 10° to 90°, in order of rising 2θ:
2θ (°)	I (rel.)
22.0	23
22.6	23
25.7	24
28.6	28
29.1	23
33.1	100
38.9	18
39.3	20
42.8	16
44.2	15

# 7
The following is a calculated PXRD pattern of NdSmSi2. It was derived from the GGA-PBE geometry in Alexandria, using Cu Kα (weighted mean of Kα1 and Kα2).
No peak broadening, texture or thermal motion is included.

Structural model:
Cell lengths 3.9273, 5.8806, 8.1937 Å; angles 90.00, 90.00, 90.00 degrees
Element x y z (fractional)
Nd 0.0000 0.1355 0.0000
Nd 0.0000 0.8645 0.5000
Sm 0.5000 0.3642 0.6401
Sm 0.5000 0.6358 0.1401
Si 0.0000 0.3748 0.3560
Si 0.0000 0.6252 0.8560
Si 0.5000 0.1293 0.2850
Si 0.5000 0.8707 0.7850

Most intense lines, 2θ from 10° to 90°, in order of rising 2θ:
2θ (°)	I (rel.)
26.5	31
27.3	39
29.4	100
31.6	72
32.3	82
35.1	44
36.3	48
39.8	39
51.2	34
57.6	32

# 8
The following is a calculated PXRD pattern of Nd2SmSi6. It was derived from the GGA-PBE geometry in Alexandria, using Cu Kα (weighted mean of Kα1 and Kα2).
No peak broadening, texture or thermal motion is included.

Structural model:
Cell lengths 7.1579, 7.1579, 4.1418 Å; angles 90.00, 90.00, 120.00 degrees
Element x y z (fractional)
Nd 0.3333 0.6667 0.0000
Nd 0.6667 0.3333 0.0000
Sm 0.0000 0.0000 0.0000
Si 0.0000 0.3324 0.5000
Si 0.0000 0.6676 0.5000
Si 0.3324 0.0000 0.5000
Si 0.3324 0.3324 0.5000
Si 0.6676 0.0000 0.5000
Si 0.6676 0.6676 0.5000

Most intense lines, 2θ from 10° to 90°, in order of rising 2θ:
2θ (°)	I (rel.)
21.5	12
24.9	46
33.1	100
43.7	10
43.8	31
51.0	20
56.0	22
63.6	20
69.4	11
73.7	19

# 9
The following is a calculated PXRD pattern of Nd3SmSi4. It was derived from the GGA-PBE geometry in Alexandria, using Cu Kα (weighted mean of Kα1 and Kα2).
No peak broadening, texture or thermal motion is included.

Structural model:
Cell lengths 4.1466, 6.4044, 16.0992 Å; angles 90.00, 90.00, 90.00 degrees
Element x y z (fractional)
Nd 0.0000 0.0000 0.0000
Nd 0.0000 0.5000 0.1938
Nd 0.0000 0.5000 0.8062
Nd 0.5000 0.0000 0.3062
Nd 0.5000 0.0000 0.6938
Nd 0.5000 0.5000 0.5000
Sm 0.0000 0.0000 0.5000
Sm 0.5000 0.5000 0.0000
Si 0.0000 0.3177 0.3692
Si 0.0000 0.3177 0.6308
Si 0.0000 0.6823 0.3692
Si 0.0000 0.6823 0.6308
Si 0.5000 0.1823 0.1308
Si 0.5000 0.1823 0.8692
Si 0.5000 0.8177 0.1308
Si 0.5000 0.8177 0.8692

Most intense lines, 2θ from 10° to 90°, in order of rising 2θ:
2θ (°)	I (rel.)
21.6	12
27.9	100
31.1	11
34.1	16
35.8	17
39.3	12
43.7	11
49.3	16
52.5	21
67.9	12

# 10
The following is a calculated PXRD pattern of NdTaSi. It was derived from the GGA-PBE geometry in Alexandria, using Cu Kα (weighted mean of Kα1 and Kα2).
No peak broadening, texture or thermal motion is included.

Structural model:
Cell lengths 4.0299, 4.0299, 16.3591 Å; angles 90.00, 90.00, 90.00 degrees
Element x y z (fractional)
Nd 0.0000 0.0000 0.1747
Nd 0.0000 0.0000 0.8253
Nd 0.5000 0.5000 0.3253
Nd 0.5000 0.5000 0.6747
Ta 0.0000 0.5000 0.0000
Ta 0.0000 0.5000 0.5000
Ta 0.5000 0.0000 0.0000
Ta 0.5000 0.0000 0.5000
Si 0.0000 0.0000 0.3861
Si 0.0000 0.0000 0.6139
Si 0.5000 0.5000 0.1139
Si 0.5000 0.5000 0.8861

Most intense lines, 2θ from 10° to 90°, in order of rising 2θ:
2θ (°)	I (rel.)
10.8	49
27.5	39
32.8	36
33.3	100
35.3	21
38.5	64
45.0	40
55.3	26
56.8	30
75.5	19

# 11
The following is a calculated PXRD pattern of Nd2Ta3Si4. It was derived from the GGA-PBE geometry in Alexandria, using Cu Kα (weighted mean of Kα1 and Kα2).
No peak broadening, texture or thermal motion is included.

Structural model:
Cell lengths 7.1304, 7.1412, 7.0071 Å; angles 90.00, 108.84, 90.00 degrees
Element x y z (fractional)
Nd 0.1853 0.1675 0.0639
Nd 0.1853 0.3325 0.5639
Nd 0.8147 0.6675 0.4361
Nd 0.8147 0.8325 0.9361
Ta 0.2596 0.6737 0.2483
Ta 0.2596 0.8263 0.7483
Ta 0.5000 0.0000 0.5000
Ta 0.5000 0.5000 0.0000
Ta 0.7404 0.1737 0.2517
Ta 0.7404 0.3263 0.7517
Si 0.0886 0.5409 0.8729
Si 0.0886 0.9591 0.3729
Si 0.4964 0.1261 0.8718
Si 0.4964 0.3739 0.3718
Si 0.5036 0.6261 0.6282
Si 0.5036 0.8739 0.1282
Si 0.9114 0.0409 0.6271
Si 0.9114 0.4591 0.1271

Most intense lines, 2θ from 10° to 90°, in order of rising 2θ:
2θ (°)	I (rel.)
25.0	53
28.4	68
28.7	62
31.1	50
35.9	97
36.1	100
36.6	67
40.3	52
40.6	97
58.0	53

# 12
The following is a calculated PXRD pattern of NdSi3Tc2. It was derived from the GGA-PBE geometry in Alexandria, using Cu Kα (weighted mean of Kα1 and Kα2).
No peak broadening, texture or thermal motion is included.

Structural model:
Cell lengths 6.0648, 6.0648, 5.7804 Å; angles 90.00, 90.00, 74.79 degrees
Element x y z (fractional)
Nd 0.1618 0.8382 0.7500
Nd 0.8382 0.1618 0.2500
Si 0.0321 0.6155 0.2500
Si 0.3845 0.9679 0.2500
Si 0.4332 0.5668 0.2500
Si 0.5668 0.4332 0.7500
Si 0.6155 0.0321 0.7500
Si 0.9679 0.3845 0.7500
Tc 0.2994 0.2994 0.0000
Tc 0.2994 0.2994 0.5000
Tc 0.7006 0.7006 0.0000
Tc 0.7006 0.7006 0.5000

Most intense lines, 2θ from 10° to 90°, in order of rising 2θ:
2θ (°)	I (rel.)
21.6	58
30.4	68
30.6	56
34.2	70
34.3	71
36.2	100
37.8	52
39.6	74
57.0	44
58.9	36